This entry pairs a crystal structure of Sr3As2O8 with its calculated powder diffraction line list. Radiation: Cu Kα (λ = 1.5418 Å). Structure: the GGA-PBE geometry in the Materials Project.

Most intense lines, 2θ from 10° to 80°, by intensity:
- 28.2°, rel. 100
- 26.9°, rel. 93
- 26.6°, rel. 91
- 22.2°, rel. 86
- 33.6°, rel. 50
- 33.2°, rel. 49
- 29.8°, rel. 45
- 26.7°, rel. 43
- 45.7°, rel. 42
- 18.6°, rel. 42
- 37.7°, rel. 42
- 25.7°, rel. 39

Cell lengths 7.3572, 10.2962, 12.6759 Å; angles 90.00, 90.59, 90.00 degrees
Sites, in units of the cell vectors:
Sr 0.0926 0.2031 0.4261
Sr 0.0926 0.2969 0.9261
Sr 0.2422 0.6553 0.8553
Sr 0.2422 0.8447 0.3553
Sr 0.3938 0.0382 0.8621
Sr 0.3938 0.4618 0.3621
Sr 0.6062 0.5382 0.6379
Sr 0.6062 0.9618 0.1379
Sr 0.7578 0.1553 0.6447
Sr 0.7578 0.3447 0.1447
Sr 0.9074 0.7031 0.0739
Sr 0.9074 0.7969 0.5739
As 0.1047 0.0515 0.1412
As 0.1047 0.4485 0.6412
As 0.4026 0.6144 0.1317
As 0.4026 0.8856 0.6317
As 0.5974 0.1144 0.3683
As 0.5974 0.3856 0.8683
As 0.8953 0.5515 0.3588
As 0.8953 0.9485 0.8588
O 0.0268 0.2024 0.1047
O 0.0268 0.2976 0.6047
O 0.0556 0.0704 0.8756
O 0.0556 0.4296 0.3756
O 0.1457 0.0511 0.2758
O 0.1457 0.4489 0.7758
O 0.2189 0.6169 0.0452
O 0.2189 0.8831 0.5452
O 0.3003 0.0145 0.0732
O 0.3003 0.4855 0.5732
O 0.3340 0.6646 0.2547
O 0.3340 0.8354 0.7547
O 0.4331 0.2204 0.4122
O 0.4331 0.2796 0.9122
O 0.4661 0.0434 0.6538
O 0.4661 0.4566 0.1538
O 0.5339 0.5434 0.8462
O 0.5339 0.9566 0.3462
O 0.5669 0.7204 0.0878
O 0.5669 0.7796 0.5878
O 0.6660 0.1646 0.2453
O 0.6660 0.3354 0.7453
O 0.6997 0.5145 0.4268
O 0.6997 0.9855 0.9268
O 0.7811 0.1169 0.4548
O 0.7811 0.3831 0.9548
O 0.8543 0.5511 0.2242
O 0.8543 0.9489 0.7242
O 0.9444 0.5704 0.6244
O 0.9444 0.9296 0.1244
O 0.9732 0.7024 0.3953
O 0.9732 0.7976 0.8953